# 1
For VPb, a cell relaxed with PBE gives the calculated X-ray diffraction stick pattern in this record (Cu Kα X-rays).
No peak broadening, texture or thermal motion is included.

Structural model:
```
16
Lattice="10.455 0.000 0.000 0.000 10.455 0.000 0.000 0.000 3.219" Properties=species:S:1:pos:R:3 pbc="T T T"
V 0.188 6.568 0.000
V 1.336 4.929 1.609
V 3.887 0.188 0.000
V 4.929 9.119 1.609
V 5.526 1.336 1.609
V 6.568 10.267 0.000
V 9.119 5.526 1.609
V 10.267 3.887 0.000
Pb 1.446 1.808 1.609
Pb 1.808 9.009 1.609
Pb 3.378 6.616 0.000
Pb 3.839 3.378 0.000
Pb 6.616 7.077 0.000
Pb 7.077 3.839 0.000
Pb 8.647 1.446 1.609
Pb 9.009 8.647 1.609
```

Principal peaks in the range 10° ≤ 2θ ≤ 90°, in order of falling intensity:
- 38.06 deg, I 100
- 26.97 deg, I 64
- 36.46 deg, I 44
- 29.03 deg, I 44
- 52.16 deg, I 34
- 34.31 deg, I 23
- 61.13 deg, I 18
- 38.51 deg, I 17

---

# 2
For SrNd2Np3N8, a cell relaxed with PBE gives the calculated X-ray diffraction stick pattern in this record (Cu Kα X-rays).
No peak broadening, texture or thermal motion is included.

Structural model:
```
14
Lattice="3.481 2.010 5.768 -3.481 2.010 5.768 0.000 -4.020 5.768" Properties=species:S:1:pos:R:3 pbc="T T T"
Sr 0.000 0.000 0.000
Nd 0.000 0.000 6.564
Nd 0.000 0.000 13.185
Np 0.000 -2.024 9.457
Np -1.753 1.012 9.457
Np 1.753 1.012 9.457
N 0.000 -1.701 4.802
N -1.473 0.850 4.802
N 0.000 0.000 2.645
N -1.546 -0.893 8.286
N 1.473 0.850 4.802
N 0.000 0.000 10.589
N 1.546 -0.893 8.285
N 0.000 1.785 8.285
```

Principal peaks in the range 10° ≤ 2θ ≤ 90°, in order of falling intensity:
- 29.98 deg, I 100
- 31.42 deg, I 93
- 30.09 deg, I 92
- 29.77 deg, I 59
- 15.36 deg, I 59
- 36.32 deg, I 55
- 52.58 deg, I 52
- 52.04 deg, I 50

---

# 3
For Li3B4C4, a cell relaxed with PBE gives the calculated X-ray diffraction stick pattern in this record (Cu Kα X-rays).
No peak broadening, texture or thermal motion is included.

Structural model:
```
22
Lattice="2.727 0.000 0.000 0.000 14.278 0.000 0.000 0.000 4.726" Properties=species:S:1:pos:R:3 pbc="T T T"
Li 0.000 1.800 0.000
Li 0.000 5.322 4.676
Li 0.000 8.956 4.676
Li 0.000 12.478 0.000
Li 1.364 1.804 2.358
Li 1.364 12.473 2.358
B 0.000 0.000 3.149
B 0.000 3.578 1.583
B 0.000 7.139 3.080
B 0.000 10.700 1.583
B 1.364 0.000 0.784
B 1.364 3.524 3.926
B 1.364 7.139 0.746
B 1.364 10.753 3.926
C 0.000 0.000 1.582
C 0.000 3.495 3.145
C 0.000 7.139 1.532
C 0.000 10.783 3.145
C 1.364 0.000 3.945
C 1.364 3.541 0.778
C 1.364 7.139 3.907
C 1.364 10.737 0.778
```

Principal peaks in the range 10° ≤ 2θ ≤ 90°, in order of falling intensity:
- 24.95 deg, I 100
- 46.07 deg, I 54
- 68.83 deg, I 18
- 51.18 deg, I 17
- 74.47 deg, I 10
- 38.09 deg, I 9
- 86.86 deg, I 7
- 40.21 deg, I 2

---

# 4
For Na4Sr5, a cell relaxed with PBE gives the calculated X-ray diffraction stick pattern in this record (Cu Kα X-rays).
No peak broadening, texture or thermal motion is included.

Structural model:
```
9
Lattice="7.156 -6.896 0.000 7.156 6.896 0.000 -1.422 0.000 4.308" Properties=species:S:1:pos:R:3 pbc="T T T"
Na 2.300 2.437 0.766
Na 2.300 -2.437 0.766
Na 10.590 2.437 3.542
Na 10.590 -2.437 3.542
Sr -0.711 0.000 2.154
Sr 6.445 2.505 2.154
Sr 3.449 0.000 3.543
Sr 9.440 0.000 0.765
Sr 6.445 -2.505 2.154
```

Principal peaks in the range 10° ≤ 2θ ≤ 90°, in order of falling intensity:
- 27.64 deg, I 100
- 27.78 deg, I 25
- 27.89 deg, I 25
- 20.63 deg, I 23
- 49.05 deg, I 19
- 49.18 deg, I 19
- 39.77 deg, I 19
- 48.75 deg, I 18

---

# 5
For Tb3TcBr3, a cell relaxed with PBE gives the calculated X-ray diffraction stick pattern in this record (Cu Kα X-rays).
No peak broadening, texture or thermal motion is included.

Structural model:
```
14
Lattice="8.731 0.000 0.000 0.000 4.019 0.000 -0.382 0.000 12.026" Properties=species:S:1:pos:R:3 pbc="T T T"
Tb 0.675 1.005 3.858
Tb 1.143 1.005 10.247
Tb 2.244 3.014 1.239
Tb 6.105 1.005 10.787
Tb 7.206 3.014 1.779
Tb 7.674 3.014 8.168
Tc 0.257 1.005 0.938
Tc 8.092 3.014 11.088
Br 0.926 1.005 7.202
Br 2.727 3.014 4.249
Br 3.561 3.014 10.458
Br 4.788 1.005 1.568
Br 5.622 1.005 7.777
Br 7.423 3.014 4.824
```

Principal peaks in the range 10° ≤ 2θ ≤ 90°, in order of falling intensity:
- 10.14 deg, I 100
- 30.23 deg, I 85
- 29.72 deg, I 46
- 45.12 deg, I 40
- 38.20 deg, I 40
- 42.42 deg, I 35
- 31.00 deg, I 33
- 31.31 deg, I 32

---

# 6
For NdSc3Tl2, a cell relaxed with PBE gives the calculated X-ray diffraction stick pattern in this record (Cu Kα X-rays).
No peak broadening, texture or thermal motion is included.

Structural model:
```
12
Lattice="4.910 0.000 0.000 0.000 9.660 0.000 0.000 0.000 6.499" Properties=species:S:1:pos:R:3 pbc="T T T"
Nd 0.000 0.406 0.000
Nd 0.000 9.254 3.250
Sc 0.000 3.070 3.948
Sc 0.000 6.591 0.699
Sc 2.455 1.978 1.757
Sc 2.455 4.435 5.806
Sc 2.455 5.225 2.556
Sc 2.455 7.682 5.006
Tl 0.000 3.624 0.977
Tl 0.000 6.037 4.227
Tl 2.455 1.430 4.711
Tl 2.455 8.231 1.461
```

Principal peaks in the range 10° ≤ 2θ ≤ 90°, in order of falling intensity:
- 33.27 deg, I 100
- 34.37 deg, I 81
- 24.52 deg, I 70
- 22.94 deg, I 65
- 36.60 deg, I 52
- 33.06 deg, I 45
- 36.11 deg, I 42
- 43.65 deg, I 41

---

# 7
For Sm2Ga4GeAu3, a cell relaxed with PBE gives the calculated X-ray diffraction stick pattern in this record (Cu Kα X-rays).
No peak broadening, texture or thermal motion is included.

Structural model:
```
10
Lattice="4.371 0.000 0.000 0.000 4.371 0.000 0.000 0.000 10.748" Properties=species:S:1:pos:R:3 pbc="T T T"
Sm 0.000 2.185 2.667
Sm 2.185 0.000 8.082
Ga 0.000 0.000 5.374
Ga 0.000 2.185 9.291
Ga 2.185 0.000 1.457
Ga 2.185 2.185 5.374
Ge 2.185 2.185 0.000
Au 0.000 0.000 0.000
Au 0.000 2.185 6.810
Au 2.185 0.000 3.938
```

Principal peaks in the range 10° ≤ 2θ ≤ 90°, in order of falling intensity:
- 33.45 deg, I 100
- 41.31 deg, I 73
- 32.31 deg, I 70
- 47.11 deg, I 39
- 53.40 deg, I 34
- 44.69 deg, I 31
- 64.43 deg, I 31
- 59.86 deg, I 25

---

# 8
For SiS, a cell relaxed with PBE gives the calculated X-ray diffraction stick pattern in this record (Cu Kα X-rays).
No peak broadening, texture or thermal motion is included.

Structural model:
```
8
Lattice="6.650 0.000 0.000 0.000 18.780 0.000 0.000 0.000 3.994" Properties=species:S:1:pos:R:3 pbc="T T T"
Si 1.663 0.655 0.998
Si 1.663 18.125 2.995
Si 4.988 0.655 0.998
Si 4.988 18.125 2.995
S 0.000 2.043 0.992
S 0.000 16.737 3.002
S 3.325 2.043 1.005
S 3.325 16.737 2.989
```

Principal peaks in the range 10° ≤ 2θ ≤ 90°, in order of falling intensity:
- 24.22 deg, I 100
- 26.47 deg, I 86
- 33.01 deg, I 49
- 49.25 deg, I 48
- 45.84 deg, I 45
- 22.76 deg, I 44
- 30.44 deg, I 38
- 29.36 deg, I 36